For Na3Al2Sb4, a DFT-relaxed cell (GGA-PBE, Alexandria) gives the simulated X-ray diffraction stick pattern in this record (Cu Kα (weighted mean of Kα1 and Kα2)).
Peak positions follow from Bragg's law for the DFT cell and can differ from measured ones.

Structure:
a b c (Å): 9.0206 9.0206 7.7853
angles (deg): 114.81 114.81 27.44
Fractional positions:
1 Na 0.0000 0.0000 0.0000
2 Na 0.1456 0.1456 0.7556
3 Na 0.8544 0.8544 0.2444
4 Al 0.3258 0.3258 0.5984
5 Al 0.6742 0.6742 0.4016
6 Sb 0.2069 0.2069 0.2236
7 Sb 0.4927 0.4927 0.6699
8 Sb 0.5073 0.5073 0.3301
9 Sb 0.7931 0.7931 0.7764

The 12 most intense peaks (2θ = 10–90°), in order of rising 2θ:
| 2θ/deg | I (rel.) |
| --- | --- |
| 20.22 | 29 |
| 20.48 | 32 |
| 22.50 | 45 |
| 23.73 | 85 |
| 25.37 | 45 |
| 26.84 | 86 |
| 31.64 | 46 |
| 32.82 | 26 |
| 33.04 | 27 |
| 42.22 | 100 |
| 42.45 | 25 |
| 42.69 | 34 |